Record 1
Simulated XRD peak list
Compound: Hf3ScSi4
Radiation: Cu Kα, 1.54184 Å
Structure: DFT lattice parameters and positions (PBE)

Cell and atoms:
abc: 5.2700 3.7322 7.0583
angles: 90.00 90.27 90.00
Space group Pm (No. 6)
Symmetry-distinct sites (fractional):
Hf1 0.0000 0.0000 0.0000 (multiplicity 1)
Hf2 0.2453 0.5000 0.6458 (multiplicity 1)
Hf3 0.4958 0.5000 0.1404 (multiplicity 1)
Sc1 0.7466 0.0000 0.4986 (multiplicity 1)
Si1 0.2617 0.0000 0.3632 (multiplicity 1)
Si2 0.4812 0.0000 0.8635 (multiplicity 1)
Si3 0.7611 0.5000 0.7798 (multiplicity 1)
Si4 0.9807 0.5000 0.2800 (multiplicity 1)

Top 10 peaks for 2θ from 10° to 90°, sorted by position:
- 12.54 deg, rel. 30
- 29.32 deg, rel. 50
- 32.00 deg, rel. 100
- 34.99 deg, rel. 79
- 36.34 deg, rel. 40
- 36.45 deg, rel. 41
- 39.12 deg, rel. 41
- 43.97 deg, rel. 45
- 48.81 deg, rel. 35
- 62.38 deg, rel. 34

***

Record 2
Simulated XRD peak list
Compound: RbMgN
Radiation: Cu Kα, 1.54184 Å
Structure: DFT lattice parameters and positions (PBE)

Cell and atoms:
abc: 10.7447 3.9230 6.9919
angles: 90.00 90.00 90.00
Space group Pnma (No. 62)
Symmetry-distinct sites (fractional):
Rb1 0.1627 0.2500 0.0450 (multiplicity 4)
Mg1 0.0386 0.2500 0.6049 (multiplicity 4)
N1 0.0581 0.7500 0.6709 (multiplicity 4)

Top 10 peaks for 2θ from 10° to 90°, sorted by position:
- 25.48 deg, rel. 32
- 26.82 deg, rel. 27
- 27.36 deg, rel. 97
- 27.99 deg, rel. 100
- 28.17 deg, rel. 60
- 35.39 deg, rel. 15
- 38.34 deg, rel. 44
- 46.29 deg, rel. 18
- 50.13 deg, rel. 30
- 54.96 deg, rel. 28